Calculated X-ray powder pattern
Compound: AcNd3Ho8
Radiation: Cu Ka
Structure: a GGA-PBE-relaxed structure
Lines closer than 0.1° are merged.

Structure:
Unit cell a=6.3704 b=11.4955 c=11.7325 alpha=90.00 beta=90.00 gamma=90.00
Space group Immm (No. 71)
Symmetry-distinct sites (fractional):
Ac  0.0000  0.0000  0.0000 [2 per cell]
Nd  0.0000  0.2440  0.5000 [4 per cell]
Nd  0.0000  0.5000  0.0000 [2 per cell]
Ho  0.0000  0.2510  0.1778 [8 per cell]
Ho  0.2471  0.0000  0.2586 [8 per cell]

The 10 most intense peaks (2θ from 10° to 90°), by angle:
2θ = 15.83°, d 5.597, I = 20, (1 0 1)
2θ = 30.48°, d 2.933, I = 20, (0 0 4)
2θ = 31.02°, d 2.883, I = 100, (1 2 3)
2θ = 31.12°, d 2.874, I = 57, (0 4 0)
2θ = 31.97°, d 2.799, I = 22, (2 0 2)
2θ = 32.13°, d 2.786, I = 41, (2 2 0)
2θ = 35.68°, d 2.517, I = 52, (2 2 2)
2θ = 51.49°, d 1.775, I = 24, (3 2 3)
2θ = 55.11°, d 1.666, I = 21, (2 0 6)
2θ = 64.66°, d 1.442, I = 26, (2 4 6)

=====

Calculated X-ray powder pattern
Compound: LaTbSbTe
Radiation: Cu Ka
Structure: a GGA-PBE-relaxed structure
Lines closer than 0.1° are merged.

Structure:
Unit cell a=4.4989 b=4.4989 c=22.0519 alpha=90.00 beta=90.00 gamma=120.00
Space group R3m (No. 160, hexagonal axes)
Symmetry-distinct sites (fractional):
La  0.0000  0.0000  0.0000 [3 per cell]
Tb  0.0000  0.0000  0.4938 [3 per cell]
Sb  0.0000  0.0000  0.7514 [3 per cell]
Te  0.0000  0.0000  0.2424 [3 per cell]

The 10 most intense peaks (2θ from 10° to 90°), by angle:
2θ = 12.04°, d 7.351, I = 2, (0 0 3)
2θ = 24.22°, d 3.674, I = 2, (0 0 6)
2θ = 28.04°, d 3.182, I = 100, (1 0 4)
2θ = 36.68°, d 2.450, I = 1, (1 0 7)
2θ = 40.08°, d 2.250, I = 76, (1 1 0)
2θ = 49.63°, d 1.837, I = 27, (0 2 4)
2θ = 57.97°, d 1.591, I = 13, (2 0 8)
2θ = 65.61°, d 1.423, I = 34, (2 1 4)
2θ = 72.81°, d 1.299, I = 25, (3 0 0)
2θ = 86.52°, d 1.125, I = 8, (2 2 0)

=====

Calculated X-ray powder pattern
Compound: CaSm2In3
Radiation: Cu Ka
Structure: a GGA-PBE-relaxed structure
Lines closer than 0.1° are merged.

Structure:
Unit cell a=3.7132 b=3.7132 c=12.2614 alpha=90.00 beta=90.00 gamma=90.00
Space group P4/mmm (No. 123)
Symmetry-distinct sites (fractional):
Ca  0.0000  0.0000  0.0000 [1 per cell]
Sm  0.0000  0.0000  0.3306 [2 per cell]
In  0.5000  0.5000  0.1645 [2 per cell]
In  0.5000  0.5000  0.5000 [1 per cell]

The 10 most intense peaks (2θ from 10° to 90°), by angle:
2θ = 32.58°, d 2.748, I = 100, (1 0 3)
2θ = 34.15°, d 2.626, I = 44, (1 1 0)
2θ = 44.32°, d 2.044, I = 12, (0 0 6)
2θ = 49.07°, d 1.857, I = 16, (2 0 0)
2θ = 57.11°, d 1.613, I = 19, (1 1 6)
2θ = 60.14°, d 1.538, I = 33, (2 1 3)
2θ = 68.25°, d 1.374, I = 12, (2 0 6)
2θ = 74.13°, d 1.279, I = 9, (1 0 9)
2θ = 81.20°, d 1.185, I = 7, (3 0 3)
2θ = 82.07°, d 1.174, I = 7, (3 1 0)

=====

Calculated X-ray powder pattern
Compound: Tc2PbSe
Radiation: Cu Ka
Structure: a GGA-PBE-relaxed structure
Lines closer than 0.1° are merged.

Structure:
Unit cell a=3.1531 b=3.1531 c=24.6533 alpha=90.00 beta=90.00 gamma=120.00
Space group R-3m (No. 166, hexagonal axes)
Symmetry-distinct sites (fractional):
Tc  0.0000  0.0000  0.2396 [6 per cell]
Pb  0.0000  0.0000  0.0000 [3 per cell]
Se  0.0000  0.0000  0.5000 [3 per cell]

The 10 most intense peaks (2θ from 10° to 90°), by angle:
2θ = 10.77°, d 8.218, I = 15, (0 0 3)
2θ = 32.69°, d 2.739, I = 10, (0 0 9)
2θ = 33.00°, d 2.714, I = 10, (1 0 1)
2θ = 35.97°, d 2.497, I = 100, (1 0 4)
2θ = 37.66°, d 2.389, I = 14, (0 1 5)
2θ = 44.08°, d 2.054, I = 15, (0 0 12)
2θ = 44.32°, d 2.044, I = 51, (0 1 8)
2θ = 58.55°, d 1.577, I = 25, (1 1 0)
2θ = 70.67°, d 1.333, I = 14, (0 2 4)
2θ = 76.10°, d 1.251, I = 18, (1 1 12)

=====

Calculated X-ray powder pattern
Compound: Li8AlZn2
Radiation: Cu Ka
Structure: a GGA-PBE-relaxed structure
Lines closer than 0.1° are merged.

Structure:
Unit cell a=8.2707 b=11.2337 c=4.2504 alpha=90.00 beta=90.00 gamma=90.00
Space group Cmmm (No. 65)
Symmetry-distinct sites (fractional):
Li  0.0000  0.2495  0.0000 [4 per cell]
Li  0.1672  0.0000  0.0000 [4 per cell]
Li  0.1698  0.3674  0.5000 [8 per cell]
Al  0.0000  0.5000  0.0000 [2 per cell]
Zn  0.0000  0.1120  0.5000 [4 per cell]

The 10 most intense peaks (2θ from 10° to 90°), by angle:
2θ = 13.29°, d 6.660, I = 83, (1 1 0)
2θ = 20.90°, d 4.250, I = 32, (0 0 1)
2θ = 21.49°, d 4.135, I = 62, (2 0 0)
2θ = 24.85°, d 3.583, I = 100, (1 1 1)
2θ = 26.12°, d 3.411, I = 22, (1 3 0)
2θ = 30.15°, d 2.964, I = 20, (2 0 1)
2θ = 38.42°, d 2.343, I = 42, (0 4 1)
2θ = 39.79°, d 2.265, I = 47, (3 1 1)
2θ = 41.66°, d 2.168, I = 18, (1 5 0)
2θ = 44.44°, d 2.039, I = 33, (2 4 1)

=====

Calculated X-ray powder pattern
Compound: Nd2Ga9Co3
Radiation: Cu Ka
Structure: a GGA-PBE-relaxed structure
Lines closer than 0.1° are merged.

Structure:
Unit cell a=12.8584 b=7.4787 c=9.5849 alpha=90.00 beta=90.00 gamma=90.00
Space group Cmcm (No. 63)
Symmetry-distinct sites (fractional):
Nd  0.1644  0.1673  0.2500 [8 per cell]
Ga  0.0000  0.1245  0.7500 [4 per cell]
Ga  0.0000  0.3350  0.0531 [8 per cell]
Ga  0.1051  0.4419  0.7500 [8 per cell]
Ga  0.1658  0.1683  0.5699 [16 per cell]
Co  0.0000  0.0000  0.0000 [4 per cell]
Co  0.1702  0.5000  0.0000 [8 per cell]

The 10 most intense peaks (2θ from 10° to 90°), by angle:
2θ = 37.00°, d 2.429, I = 55, (0 2 3)
2θ = 37.10°, d 2.423, I = 100, (3 1 3)
2θ = 37.53°, d 2.396, I = 27, (0 0 4)
2θ = 38.10°, d 2.362, I = 21, (4 2 1)
2θ = 41.92°, d 2.155, I = 69, (3 3 0)
2θ = 42.17°, d 2.143, I = 34, (6 0 0)
2θ = 57.33°, d 1.607, I = 15, (6 2 3)
2θ = 73.29°, d 1.292, I = 16, (3 5 3)
2θ = 73.46°, d 1.289, I = 16, (6 4 3)
2θ = 73.73°, d 1.285, I = 23, (9 1 3)

=====

Calculated X-ray powder pattern
Compound: Ce11Hg9Ir4
Radiation: Cu Ka
Structure: a GGA-PBE-relaxed structure
Lines closer than 0.1° are merged.

Structure:
Unit cell a=14.8924 b=21.8315 c=3.7007 alpha=90.00 beta=90.00 gamma=90.00
Space group Cmmm (No. 65)
Symmetry-distinct sites (fractional):
Ce  0.0000  0.0000  0.0000 [2 per cell]
Ce  0.0000  0.1550  0.0000 [4 per cell]
Ce  0.0000  0.3718  0.0000 [4 per cell]
Ce  0.1883  0.5000  0.0000 [4 per cell]
Ce  0.2493  0.1728  0.0000 [8 per cell]
Hg  0.0000  0.5000  0.5000 [2 per cell]
Hg  0.1023  0.2581  0.5000 [8 per cell]
Hg  0.1466  0.0716  0.5000 [8 per cell]
Ir  0.1499  0.3988  0.5000 [8 per cell]

The 10 most intense peaks (2θ from 10° to 90°), by angle:
2θ = 31.58°, d 2.833, I = 26, (2 4 1)
2θ = 32.59°, d 2.747, I = 23, (3 3 1)
2θ = 34.16°, d 2.625, I = 97, (4 0 1)
2θ = 34.47°, d 2.602, I = 88, (4 6 0)
2θ = 34.57°, d 2.595, I = 100, (0 6 1)
2θ = 36.64°, d 2.453, I = 25, (3 5 1)
2θ = 37.15°, d 2.420, I = 30, (6 2 0)
2θ = 37.57°, d 2.394, I = 19, (1 9 0)
2θ = 49.24°, d 1.850, I = 32, (0 0 2)
2θ = 61.49°, d 1.508, I = 36, (4 6 2)

=====

Calculated X-ray powder pattern
Compound: Cs2Ge
Radiation: Cu Ka
Structure: a GGA-PBE-relaxed structure
Lines closer than 0.1° are merged.

Structure:
Unit cell a=4.3244 b=9.9198 c=10.3519 alpha=72.62 beta=83.47 gamma=89.41
Space group P-1 (No. 2)
Symmetry-distinct sites (fractional):
Cs  0.1822  0.2103  0.2745 [2 per cell]
Cs  0.3122  0.2938  0.7897 [2 per cell]
Ge  0.2499  0.5710  0.9943 [2 per cell]

The 10 most intense peaks (2θ from 10° to 90°), by angle:
2θ = 10.87°, d 8.138, I = 61, (0 1 1)
2θ = 18.08°, d 4.906, I = 69, (0 0 2)
2θ = 18.75°, d 4.732, I = 76, (0 2 0)
2θ = 21.84°, d 4.069, I = 100, (0 2 2)
2θ = 22.52°, d 3.948, I = 79, (1 -1 0)
2θ = 25.87°, d 3.444, I = 54, (1 1 2)
2θ = 28.75°, d 3.105, I = 66, (-1 1 2)
2θ = 29.29°, d 3.049, I = 60, (1 -1 2)
2θ = 29.90°, d 2.988, I = 53, (0 2 -2)
2θ = 34.01°, d 2.636, I = 53, (1 3 1)

=====

Number 4 is which compound? Tc2PbSe